Starting from a structure optimized by DFT (PBE), the powder diffraction line list of Cd2InHg10 was calculated for a wavelength of 1.5418 Å.
Lines closer than 0.1° are merged.

Cell and atoms:
```
Cd2InHg10
1.0
0.0000 7.4317 7.6348
3.1322 0.0000 7.6348
3.1322 7.4317 0.0000
Cd In Hg
2 1 10
direct
0.0000 0.0000 0.5000
0.5000 0.5000 0.0000
0.0000 0.0000 0.0000
0.0000 0.5000 0.0000
0.0047 0.6499 0.3501
0.2933 0.5017 0.4983
0.3501 0.9953 0.0047
0.4983 0.7067 0.2933
0.5000 0.0000 0.5000
0.5017 0.2933 0.7067
0.6499 0.0047 0.9953
0.7067 0.4983 0.5017
0.9953 0.3501 0.6499
```

Main lines, in order of rising 2θ (2θ = 10–80°):
2θ (°)  I_rel
28.50  20
28.91  41
33.19  100
33.66  45
33.89  48
37.13  38
37.35  23
37.56  33
37.88  19
59.89  31